This entry pairs a crystal structure of BaDySi4Os2 with its simulated PXRD pattern. Radiation: Cu Kα (weighted mean of Kα1 and Kα2). Structure: a cell relaxed with PBE.
Intensities are scaled so that the largest is 100.

Cell lengths 4.6081, 4.1262, 8.4003 Å; angles 90.00, 102.33, 90.00 degrees
Space group Pm (No. 6)
Unique sites:
1 Ba 0.0000 0.0000 0.0000 (multiplicity 1)
2 Dy 0.1707 0.5000 0.4030 (multiplicity 1)
3 Si 0.2444 0.0000 0.6794 (multiplicity 1)
4 Si 0.5483 0.5000 0.1077 (multiplicity 1)
5 Si 0.6186 0.0000 0.2901 (multiplicity 1)
6 Si 0.9088 0.5000 0.6935 (multiplicity 1)
7 Os 0.4543 0.5000 0.7972 (multiplicity 1)
8 Os 0.6971 0.0000 0.5749 (multiplicity 1)

Most intense lines, 2θ = 5–70°, most intense first:
hkl	d_spacing	2θ (°)	I_rel
1 1 -1	2.997	29.82	100
0 0 1	8.206	10.78	83
0 1 2	2.910	30.73	75
1 0 -3	2.597	34.54	53
0 1 3	2.280	39.53	52
1 1 0	3.042	29.36	50